1.
Ac5La12Dy: simulated X-ray diffraction stick pattern (Cu Kα), based on a crystal structure in Alexandria, relaxed with PBE.

Structural model:
Lattice parameters (Å, degrees): 6.292 10.951 10.953 111.23 90.35 90.43
Space group P-1 (No. 2)
One atom of each set of equivalent atoms:
1 Ac 0.000 0.000 0.000
2 Ac 0.000 0.336 0.663
3 Ac 0.500 0.164 0.836
4 La 0.052 0.647 0.980
5 La 0.052 0.980 0.647
6 La 0.074 0.319 0.318
7 La 0.427 0.805 0.806
8 La 0.450 0.154 0.484
9 La 0.450 0.484 0.154
10 Dy 0.500 0.500 0.500

Top 12 peaks for 15 to 90 degrees two-theta, sorted by position:
- 2θ = 21.59°, intensity 12, (1 1 -2)
- 2θ = 21.71°, intensity 11, (1 2 -1)
- 2θ = 28.37°, intensity 44, (2 0 0)
- 2θ = 29.68°, intensity 100, (0 3 -3)
- 2θ = 29.73°, intensity 46, (1 0 -3)
- 2θ = 29.98°, intensity 89, (1 3 0)
- 2θ = 41.50°, intensity 31, (2 -3 3)
- 2θ = 43.92°, intensity 14, (0 3 3)
- 2θ = 50.92°, intensity 11, (3 -3 0)
- 2θ = 52.66°, intensity 19, (1 -6 3)
- 2θ = 52.82°, intensity 25, (1 -3 6)
- 2θ = 53.89°, intensity 15, (0 6 0)

2.
ScBe2Re: simulated X-ray diffraction stick pattern (Cu Kα), based on a crystal structure in Alexandria, relaxed with PBE.

Structural model:
Lattice parameters (Å, degrees): 3.373 3.290 9.333 90.00 90.00 90.00
Space group Amm2 (No. 38)
One atom of each set of equivalent atoms:
1 Sc 0.000 0.000 0.000
2 Be 0.000 0.000 0.736
3 Be 0.500 0.000 0.611
4 Re 0.500 0.000 0.298

Top 12 peaks for 15 to 90 degrees two-theta, sorted by position:
- 2θ = 19.02°, intensity 79, (0 0 2)
- 2θ = 26.42°, intensity 32, (1 0 0)
- 2θ = 28.77°, intensity 75, (0 1 1)
- 2θ = 32.76°, intensity 90, (1 0 2)
- 2θ = 38.59°, intensity 26, (0 0 4)
- 2θ = 39.46°, intensity 100, (1 1 1)
- 2θ = 39.88°, intensity 58, (0 1 3)
- 2θ = 47.38°, intensity 22, (1 0 4)
- 2θ = 48.48°, intensity 35, (1 1 3)
- 2θ = 63.61°, intensity 28, (1 1 5)
- 2θ = 66.32°, intensity 23, (1 2 2)
- 2θ = 69.54°, intensity 22, (2 1 3)

3.
Mg6CdPt: simulated X-ray diffraction stick pattern (Cu Kα), based on a crystal structure in Alexandria, relaxed with PBE.

Structural model:
Lattice parameters (Å, degrees): 4.7876 4.7876 23.5351 90.00 90.00 120.00
Space group R-3m (No. 166, hexagonal axes)
One atom of each set of equivalent atoms:
1 Mg 0.0000 0.0000 0.1185
2 Mg 0.0000 0.0000 0.2509
3 Mg 0.0000 0.0000 0.3700
4 Cd 0.0000 0.0000 0.5000
5 Pt 0.0000 0.0000 0.0000

Top 12 peaks for 15 to 90 degrees two-theta, sorted by position:
- 2θ = 22.72°, intensity 74, (0 1 2)
- 2θ = 26.30°, intensity 39, (1 0 4)
- 2θ = 37.53°, intensity 100, (1 1 0)
- 2θ = 44.30°, intensity 29, (1 0 10)
- 2θ = 44.37°, intensity 10, (2 0 2)
- 2θ = 46.44°, intensity 9, (0 2 4)
- 2θ = 54.12°, intensity 17, (2 0 8)
- 2θ = 59.37°, intensity 8, (0 2 10)
- 2θ = 59.51°, intensity 8, (1 2 2)
- 2θ = 61.08°, intensity 8, (1 1 12)
- 2θ = 67.57°, intensity 8, (1 0 16)
- 2θ = 67.77°, intensity 25, (3 0 0)

4.
PmAg2Au: simulated X-ray diffraction stick pattern (Cu Kα), based on a crystal structure in Alexandria, relaxed with PBE.

Structural model:
Lattice parameters (Å, degrees): 4.397 7.879 5.584 90.00 113.15 90.00
Space group P2_1/m (No. 11)
One atom of each set of equivalent atoms:
1 Pm 0.072 0.250 0.143
2 Ag 0.370 0.056 0.740
3 Au 0.222 0.750 0.445

Top 12 peaks for 15 to 90 degrees two-theta, sorted by position:
- 2θ = 22.57°, intensity 17, (0 2 0)
- 2θ = 31.72°, intensity 79, (1 2 0)
- 2θ = 35.12°, intensity 100, (1 1 -2)
- 2θ = 36.82°, intensity 26, (0 1 2)
- 2θ = 38.50°, intensity 17, (0 3 1)
- 2θ = 40.49°, intensity 20, (1 2 1)
- 2θ = 41.02°, intensity 76, (2 0 -1)
- 2θ = 42.01°, intensity 19, (0 2 2)
- 2θ = 56.32°, intensity 15, (2 1 1)
- 2θ = 67.28°, intensity 15, (1 0 3)
- 2θ = 68.99°, intensity 30, (1 5 -2)
- 2θ = 70.97°, intensity 13, (3 1 -3)